This entry pairs a crystal structure of Sc with its calculated powder diffractogram. Radiation: Cu Kα. Structure: the PBE geometry in OQMD.
No peak broadening, texture or thermal motion is included.

a b c (Å): 3.1811 3.1811 4.6621
angles (deg): 90.00 90.00 90.00
Space group I4/mmm (No. 139)
Unique sites:
Sc (0.0000, 0.0000, 0.0000) [2 per cell]

Peak list (10 most intense, 10° ≤ 2θ ≤ 90°, low angle first)
hkl	d_spacing	two_theta	I_rel
1 0 1	2.628	34.12	100
0 0 2	2.331	38.62	17
1 1 0	2.249	40.09	31
1 1 2	1.619	56.88	20
2 0 0	1.591	57.98	9
1 0 3	1.396	67.02	12
2 1 1	1.361	69.02	21
2 0 2	1.314	71.86	9
0 0 4	1.166	82.82	2
2 2 0	1.125	86.54	3

This entry pairs a crystal structure of YHo2Tm4Ni2Te2 with its calculated powder diffractogram. Radiation: Cu Kα. Structure: the PBE geometry in OQMD.
No peak broadening, texture or thermal motion is included.

a b c (Å): 3.8314 15.4690 9.4685
angles (deg): 90.00 90.00 90.00
Space group Imm2 (No. 44)
Unique sites:
Y (0.0000, 0.0000, 0.0000) [2 per cell]
Ho (0.0000, 0.3521, 0.2690) [4 per cell]
Tm (0.0000, 0.1334, 0.4173) [4 per cell]
Tm (0.0000, 0.3146, 0.6211) [4 per cell]
Ni (0.0000, 0.2385, 0.9284) [4 per cell]
Te (0.0000, 0.0000, 0.6621) [2 per cell]
Te (0.0000, 0.5000, 0.7663) [2 per cell]

Peak list (12 most intense, 10° ≤ 2θ ≤ 90°, low angle first)
hkl	d_spacing	two_theta	I_rel
1 0 1	3.552	25.07	26
0 5 1	2.941	30.39	18
1 1 2	2.925	30.57	43
0 3 3	2.692	33.28	83
1 4 1	2.616	34.28	100
0 6 0	2.579	34.79	86
1 0 3	2.436	36.90	19
1 2 3	2.324	38.75	21
2 0 0	1.916	47.46	30
1 7 2	1.776	51.47	23
2 3 3	1.561	59.20	32
1 10 1	1.418	65.86	19

This entry pairs a crystal structure of HoCoB4 with its calculated powder diffractogram. Radiation: Cu Kα. Structure: the PBE geometry in OQMD.
No peak broadening, texture or thermal motion is included.

a b c (Å): 3.1532 3.1532 6.4467
angles (deg): 90.00 90.00 120.00
Space group P6/mmm (No. 191)
Unique sites:
Ho (0.0000, 0.0000, 0.0000) [1 per cell]
Co (0.0000, 0.0000, 0.5000) [1 per cell]
B (0.3333, 0.6667, 0.2990) [4 per cell]

Peak list (12 most intense, 10° ≤ 2θ ≤ 90°, low angle first)
hkl	d_spacing	two_theta	I_rel
0 0 1	6.447	13.74	37
0 0 2	3.223	27.67	39
1 0 0	2.731	32.80	85
1 0 1	2.514	35.71	34
1 0 2	2.084	43.43	100
1 0 3	1.689	54.32	8
1 1 0	1.577	58.55	23
1 1 2	1.416	65.96	21
1 0 4	1.388	67.48	23
2 0 0	1.365	68.75	10
2 0 2	1.257	75.64	19
1 1 4	1.127	86.32	13

This entry pairs a crystal structure of Li4ZnCdAu2 with its calculated powder diffractogram. Radiation: Cu Kα. Structure: the PBE geometry in OQMD.
No peak broadening, texture or thermal motion is included.

a b c (Å): 4.4422 4.4422 6.4233
angles (deg): 90.00 90.00 90.00
Space group P-4m2 (No. 115)
Unique sites:
Li (0.0000, 0.0000, 0.0000) [1 per cell]
Li (0.0000, 0.5000, 0.7307) [2 per cell]
Li (0.5000, 0.5000, 0.5000) [1 per cell]
Zn (0.0000, 0.0000, 0.5000) [1 per cell]
Cd (0.5000, 0.5000, 0.0000) [1 per cell]
Au (0.0000, 0.5000, 0.2728) [2 per cell]

Peak list (12 most intense, 10° ≤ 2θ ≤ 90°, low angle first)
hkl	d_spacing	two_theta	I_rel
1 0 1	3.654	24.36	100
1 1 0	3.141	28.41	8
1 1 2	2.246	40.16	54
2 0 0	2.221	40.62	27
1 0 3	1.929	47.12	15
2 1 1	1.898	47.93	33
2 2 0	1.571	58.79	9
2 1 3	1.456	63.93	12
3 0 1	1.443	64.59	7
2 0 4	1.301	72.66	8
3 1 2	1.287	73.60	18
3 2 1	1.210	79.16	8

This entry pairs a crystal structure of Sm3AsBrCl2 with its calculated powder diffractogram. Radiation: Cu Kα. Structure: the PBE geometry in OQMD.
No peak broadening, texture or thermal motion is included.

a b c (Å): 5.8239 5.8239 5.7338
angles (deg): 90.00 90.00 90.00
Space group P4/mmm (No. 123)
Unique sites:
Sm (0.0000, 0.0000, 0.0000) [1 per cell]
Sm (0.0000, 0.5000, 0.5000) [2 per cell]
As (0.0000, 0.0000, 0.5000) [1 per cell]
Br (0.5000, 0.5000, 0.5000) [1 per cell]
Cl (0.0000, 0.5000, 0.0000) [2 per cell]

Peak list (12 most intense, 10° ≤ 2θ ≤ 90°, low angle first)
hkl	d_spacing	two_theta	I_rel
1 0 0	5.824	15.21	24
0 0 1	5.734	15.45	30
1 0 1	4.086	21.75	24
1 1 1	3.345	26.65	28
2 0 0	2.912	30.70	100
0 0 2	2.867	31.20	48
2 0 1	2.596	34.55	18
2 2 0	2.059	43.98	37
2 0 2	2.043	44.34	71
2 2 2	1.672	54.90	38
4 2 0	1.302	72.60	16
4 2 2	1.186	81.11	24

This entry pairs a crystal structure of Sr2Tb2NO5 with its calculated powder diffractogram. Radiation: Cu Kα. Structure: the PBE geometry in OQMD.
No peak broadening, texture or thermal motion is included.

a b c (Å): 4.2938 4.2938 8.9427
angles (deg): 90.00 90.00 90.00
Space group P4/mmm (No. 123)
Unique sites:
Sr (0.0000, 0.0000, 0.0000) [1 per cell]
Sr (0.0000, 0.0000, 0.5000) [1 per cell]
Tb (0.5000, 0.5000, 0.2427) [2 per cell]
N (0.5000, 0.5000, 0.5000) [1 per cell]
O (0.0000, 0.5000, 0.2901) [4 per cell]
O (0.5000, 0.5000, 0.0000) [1 per cell]

Peak list (12 most intense, 10° ≤ 2θ ≤ 90°, low angle first)
hkl	d_spacing	two_theta	I_rel
1 0 0	4.294	20.69	16
1 0 2	3.097	28.83	100
1 1 0	3.036	29.42	47
0 0 4	2.236	40.34	15
2 0 0	2.147	42.09	29
1 1 4	1.800	50.71	23
2 1 2	1.764	51.82	40
2 0 4	1.549	59.71	18
1 0 6	1.408	66.39	9
2 1 6	1.177	81.80	11
3 1 4	1.161	83.25	11
3 2 2	1.151	84.12	10

This entry pairs a crystal structure of NdTm2As2 with its calculated powder diffractogram. Radiation: Cu Kα. Structure: the PBE geometry in OQMD.
No peak broadening, texture or thermal motion is included.

a b c (Å): 4.0974 4.0974 9.5273
angles (deg): 90.00 90.00 120.00
Space group P-3m1 (No. 164)
Unique sites:
Nd (0.0000, 0.0000, 0.0000) [1 per cell]
Tm (0.3333, 0.6667, 0.3485) [2 per cell]
As (0.3333, 0.6667, 0.8071) [2 per cell]

Peak list (12 most intense, 10° ≤ 2θ ≤ 90°, low angle first)
hkl	d_spacing	two_theta	I_rel
0 1 1	3.325	26.81	44
0 0 3	3.176	28.10	12
1 0 2	2.846	31.44	100
1 1 0	2.049	44.21	40
0 1 4	1.978	45.89	30
1 1 3	1.722	53.21	13
1 0 5	1.679	54.67	8
0 2 2	1.663	55.25	20
2 0 4	1.423	65.61	10
2 1 2	1.291	73.33	17
1 1 6	1.255	75.80	11
1 2 4	1.169	82.55	11

This entry pairs a crystal structure of Zr5CoNi2 with its calculated powder diffractogram. Radiation: Cu Kα. Structure: the PBE geometry in OQMD.
No peak broadening, texture or thermal motion is included.

a b c (Å): 4.5578 6.6080 9.4496
angles (deg): 90.00 90.00 90.00
Space group Amm2 (No. 38)
Unique sites:
Zr (0.0000, 0.0000, 0.0000) [2 per cell]
Zr (0.0000, 0.2474, 0.7485) [4 per cell]
Zr (0.5000, 0.2268, 0.5076) [4 per cell]
Co (0.5000, 0.0000, 0.2462) [2 per cell]
Ni (0.0000, 0.0000, 0.4690) [2 per cell]
Ni (0.5000, 0.0000, 0.7828) [2 per cell]

Peak list (12 most intense, 10° ≤ 2θ ≤ 90°, low angle first)
hkl	d_spacing	two_theta	I_rel
1 0 2	3.280	27.18	3
1 1 3	2.412	37.27	4
0 0 4	2.362	38.09	24
1 2 2	2.328	38.68	100
2 0 0	2.279	39.54	25
0 4 0	1.652	55.64	8
2 0 4	1.640	56.07	15
1 2 6	1.357	69.23	13
0 4 4	1.354	69.42	7
2 4 0	1.338	70.39	8
3 2 2	1.325	71.16	15
2 4 4	1.164	82.96	8

This entry pairs a crystal structure of LaNd2Mg3AgPd2 with its calculated powder diffractogram. Radiation: Cu Kα. Structure: the PBE geometry in OQMD.
No peak broadening, texture or thermal motion is included.

a b c (Å): 4.1647 13.3068 7.7501
angles (deg): 90.00 90.00 90.00
Space group Amm2 (No. 38)
Unique sites:
La (0.0000, 0.0000, 0.0000) [2 per cell]
Nd (0.0000, 0.2093, 0.3685) [4 per cell]
Mg (0.5000, 0.0000, 0.3354) [2 per cell]
Mg (0.5000, 0.1245, 0.6996) [4 per cell]
Ag (0.0000, 0.0000, 0.5770) [2 per cell]
Pd (0.5000, 0.1662, 0.0775) [4 per cell]

Peak list (12 most intense, 10° ≤ 2θ ≤ 90°, low angle first)
hkl	d_spacing	two_theta	I_rel
0 2 0	6.679	13.26	14
1 0 0	4.165	21.33	16
0 0 2	3.875	22.95	14
0 3 1	3.850	23.10	28
0 2 2	3.349	26.62	25
1 0 2	2.837	31.54	34
1 3 1	2.827	31.65	67
1 2 2	2.610	34.36	100
1 4 0	2.599	34.51	48
0 3 3	2.232	40.41	24
1 5 1	2.156	41.90	23
2 0 0	2.082	43.46	30

This entry pairs a crystal structure of TbTm2Cu4Si2Ge2 with its calculated powder diffractogram. Radiation: Cu Kα. Structure: the PBE geometry in OQMD.
No peak broadening, texture or thermal motion is included.

a b c (Å): 4.1028 6.6105 13.7249
angles (deg): 90.00 90.00 90.00
Space group Immm (No. 71)
Unique sites:
Tb (0.0000, 0.0000, 0.0000) [2 per cell]
Tm (0.0000, 0.5000, 0.1294) [4 per cell]
Cu (0.0000, 0.3089, 0.3254) [8 per cell]
Si (0.0000, 0.0000, 0.2176) [4 per cell]
Ge (0.0000, 0.1914, 0.5000) [4 per cell]

Peak list (12 most intense, 10° ≤ 2θ ≤ 90°, low angle first)
hkl	d_spacing	two_theta	I_rel
0 1 3	3.762	23.65	15
1 1 2	3.108	28.72	21
1 2 1	2.531	35.47	100
1 1 4	2.445	36.75	76
0 0 6	2.287	39.39	15
2 0 0	2.051	44.15	28
0 3 3	1.985	45.70	31
1 2 7	1.560	59.24	14
0 2 8	1.523	60.82	13
2 3 3	1.427	65.42	21
2 4 0	1.286	73.66	11
1 5 4	1.181	81.47	11

This entry pairs a crystal structure of ReSnSe2S2 with its calculated powder diffractogram. Radiation: Cu Kα. Structure: the PBE geometry in OQMD.
No peak broadening, texture or thermal motion is included.

a b c (Å): 6.5486 7.0100 7.4859
angles (deg): 62.09 73.48 89.10
Space group P-1 (No. 2)
Unique sites:
Re (0.0007, 0.2002, 0.0002) [2 per cell]
Sn (0.0001, 0.2633, 0.4734) [2 per cell]
Se (0.2294, 0.5989, 0.7956) [2 per cell]
Se (0.2656, 0.1280, 0.7340) [2 per cell]
S (0.2180, 0.6540, 0.2187) [2 per cell]
S (0.2187, 0.1216, 0.2174) [2 per cell]

Peak list (12 most intense, 10° ≤ 2θ ≤ 90°, low angle first)
hkl	d_spacing	two_theta	I_rel
0 0 1	6.282	14.10	9
1 0 0	6.217	14.25	100
1 0 1	5.334	16.62	17
1 0 2	3.242	27.51	17
0 2 0	3.068	29.11	12
0 2 2	3.053	29.25	14
2 0 2	2.667	33.61	31
1 2 0	2.611	34.35	27
-1 2 2	2.576	34.83	26
2 0 -2	1.928	47.14	11
3 2 2	1.866	48.81	26
3 -2 0	1.840	49.55	9

This entry pairs a crystal structure of HoGa3 with its calculated powder diffractogram. Radiation: Cu Kα. Structure: the PBE geometry in OQMD.
No peak broadening, texture or thermal motion is included.

a b c (Å): 6.2500 6.2500 4.5385
angles (deg): 90.00 90.00 120.00
Space group P6_3/mmc (No. 194)
Unique sites:
Ho (0.3333, 0.6667, 0.2500) [2 per cell]
Ga (0.1485, 0.2969, 0.7500) [6 per cell]

Peak list (12 most intense, 10° ≤ 2θ ≤ 90°, low angle first)
hkl	d_spacing	two_theta	I_rel
1 0 1	3.478	25.61	24
1 1 0	3.125	28.56	10
2 0 0	2.706	33.10	25
2 0 1	2.324	38.74	100
0 0 2	2.269	39.72	22
2 1 0	2.046	44.28	7
2 0 2	1.739	52.64	13
2 2 0	1.563	59.13	17
3 1 1	1.425	65.49	6
2 0 3	1.321	71.44	16
4 0 1	1.297	72.95	12
2 2 2	1.287	73.60	17